No. 1
Starting from a DFT-relaxed cell (PBE, Alexandria), the X-ray powder pattern of La2AgGe4 was computed for Cu Kα (weighted mean of Kα1 and Kα2).
Neutral-atom scattering factors, no anomalous dispersion.

Structure:
```
La2AgGe4
1.0
4.9344 0.0000 0.0000
0.0000 4.9344 0.0000
0.0000 0.0000 15.3017
La Ag Ge
4 2 8
Direct
0.0000 0.0000 0.1369
0.0000 0.0000 0.8631
0.5000 0.5000 0.3631
0.5000 0.5000 0.6369
0.0000 0.0000 0.5000
0.5000 0.5000 0.0000
0.0000 0.0000 0.3322
0.0000 0.0000 0.6678
0.0000 0.5000 0.0000
0.0000 0.5000 0.5000
0.5000 0.0000 0.0000
0.5000 0.0000 0.5000
0.5000 0.5000 0.1678
0.5000 0.5000 0.8322
```

Most intense lines, 10 to 90 degrees two-theta, by intensity:
36.4 deg, I 100; 25.5 deg, I 80; 34.8 deg, I 66; 34.5 deg, I 45; 51.5 deg, I 44; 25.1 deg, I 42; 11.6 deg, I 35; 52.4 deg, I 34; 35.2 deg, I 33; 51.0 deg, I 29

No. 2
Starting from a DFT-relaxed cell (PBE, Alexandria), the X-ray powder pattern of SrNiPb2 was computed for Cu Kα (weighted mean of Kα1 and Kα2).
Neutral-atom scattering factors, no anomalous dispersion.

Structure:
```
SrNiPb2
1.0
6.0214 0.0000 0.0000
0.0000 9.0413 0.0000
0.0000 0.0000 4.2207
Sr Ni Pb
2 2 4
Direct
0.0000 0.0000 0.0000
0.5000 0.5000 0.0000
0.0000 0.5000 0.0000
0.5000 0.0000 0.0000
0.0000 0.3214 0.5000
0.0000 0.6786 0.5000
0.5000 0.1786 0.5000
0.5000 0.8214 0.5000
```

Most intense lines, 10 to 90 degrees two-theta, by intensity:
28.9 deg, I 100; 29.7 deg, I 89; 33.2 deg, I 74; 41.9 deg, I 74; 39.7 deg, I 74; 27.6 deg, I 53; 55.3 deg, I 48; 17.7 deg, I 45; 21.0 deg, I 40; 53.0 deg, I 36

No. 3
Starting from a DFT-relaxed cell (PBE, Alexandria), the X-ray powder pattern of Y3Ga9Tc2 was computed for Cu Kα (weighted mean of Kα1 and Kα2).
Neutral-atom scattering factors, no anomalous dispersion.

Structure:
```
Y3Ga9Tc2
1.0
-2.1244 4.7282 6.3563
2.1244 -4.7282 6.3563
2.1244 4.7282 -6.3563
Y Ga Tc
3 9 2
Direct
0.0000 0.0000 0.0000
0.3004 0.3004 0.0000
0.6996 0.6996 0.0000
0.0165 0.6526 0.3639
0.1522 0.8680 0.2842
0.2887 0.6526 0.6361
0.4162 0.1320 0.2842
0.5000 0.0000 0.5000
0.5838 0.8680 0.7158
0.7113 0.3474 0.3639
0.8478 0.1320 0.7158
0.9835 0.3474 0.6361
0.3242 0.5000 0.8242
0.6758 0.5000 0.1758
```

Most intense lines, 10 to 90 degrees two-theta, by intensity:
35.4 deg, I 100; 42.6 deg, I 34; 45.8 deg, I 26; 38.3 deg, I 26; 36.6 deg, I 26; 44.4 deg, I 20; 34.0 deg, I 15; 68.8 deg, I 15; 42.7 deg, I 15; 56.6 deg, I 10

Please write out number 2 again, unchanged.
Starting from a DFT-relaxed cell (PBE, Alexandria), the X-ray powder pattern of SrNiPb2 was computed for Cu Kα (weighted mean of Kα1 and Kα2).
Neutral-atom scattering factors, no anomalous dispersion.

Structure:
```
SrNiPb2
1.0
6.0214 0.0000 0.0000
0.0000 9.0413 0.0000
0.0000 0.0000 4.2207
Sr Ni Pb
2 2 4
Direct
0.0000 0.0000 0.0000
0.5000 0.5000 0.0000
0.0000 0.5000 0.0000
0.5000 0.0000 0.0000
0.0000 0.3214 0.5000
0.0000 0.6786 0.5000
0.5000 0.1786 0.5000
0.5000 0.8214 0.5000
```

Most intense lines, 10 to 90 degrees two-theta, by intensity:
28.9 deg, I 100; 29.7 deg, I 89; 33.2 deg, I 74; 41.9 deg, I 74; 39.7 deg, I 74; 27.6 deg, I 53; 55.3 deg, I 48; 17.7 deg, I 45; 21.0 deg, I 40; 53.0 deg, I 36